Theoretical X-ray diffraction stick pattern of Sm3Pu for λ = 1.5418 Å (Cu Kα), from a PBE-relaxed structure.
Lines closer than 0.1° are merged.

Peak list (10 most intense, 2θ from 10° to 80°, sorted by position)
hkl 1 0 1, 2θ 29.9, d = 2.984 Å, I 57
hkl 0 0 4, 2θ 30.1, d = 2.973 Å, I 39
hkl 1 0 2, 2θ 32.7, d = 2.737 Å, I 100
hkl 1 0 3, 2θ 36.9, d = 2.433 Å, I 35
hkl 1 0 5, 2θ 48.3, d = 1.883 Å, I 16
hkl 1 1 0, 2θ 51.3, d = 1.780 Å, I 27
hkl 1 0 6, 2θ 55.1, d = 1.667 Å, I 22
hkl 1 1 4, 2θ 60.6, d = 1.527 Å, I 40
hkl 2 0 2, 2θ 62.2, d = 1.492 Å, I 16
hkl 0 0 8, 2θ 62.4, d = 1.487 Å, I 14

a = 3.5598 Å, b = 3.5598 Å, c = 11.8901 Å
α = 90.00°, β = 90.00°, γ = 120.00°
Space group P-6m2 (No. 187)
Asymmetric unit:
Sm 0.0000 0.0000 0.0000 x1
Sm 0.6667 0.3333 0.2596 x2
Pu 0.3333 0.6667 0.5000 x1